Record 1
This entry pairs a crystal structure of PrAl3Br12 with its simulated PXRD pattern. Radiation: Cu Kα, 1.54184 Å. Structure: the GGA-PBE geometry in Alexandria.
No peak broadening, texture or thermal motion is included.

Structural model:
a = 11.1368 Å, b = 11.1368 Å, c = 19.0126 Å
α = 90.00°, β = 90.00°, γ = 120.00°
Space group P3_121 (No. 152)
Asymmetric unit:
1 Pr 0.0000 0.7525 0.1667 x3
2 Al 0.0000 0.0726 0.6667 x3
3 Al 0.2870 0.6624 0.2331 x6
4 Br 0.0406 0.2096 0.7668 x6
5 Br 0.0494 0.1874 0.3682 x6
6 Br 0.0697 0.6181 0.2835 x6
7 Br 0.1865 0.7271 0.8675 x6
8 Br 0.1970 0.6624 0.6383 x6
9 Br 0.2126 0.4949 0.4651 x6

The 10 most intense peaks (2θ from 10° to 80°), most intense first:
hkl, 2θ/deg, I/Imax
0 1 1, 10.3, 100
1 2 3, 28.2, 53
0 2 5, 29.9, 29
2 2 2, 33.5, 27
1 0 2, 13.1, 25
1 2 1, 24.9, 23
0 2 3, 23.2, 21
2 0 4, 26.3, 20
1 1 0, 15.9, 20
0 3 2, 29.3, 19

---

Record 2
This entry pairs a crystal structure of K2GaSbI6 with its simulated PXRD pattern. Radiation: Cu Kα, 1.54184 Å. Structure: the GGA-PBE geometry in Alexandria.
No peak broadening, texture or thermal motion is included.

Structural model:
a = 8.4952 Å, b = 8.4952 Å, c = 21.6558 Å
α = 90.00°, β = 90.00°, γ = 120.00°
Space group R3 (No. 146, hexagonal axes)
Asymmetric unit:
1 K 0.0000 0.0000 0.0000 x3
2 K 0.0000 0.0000 0.4946 x3
3 Ga 0.0000 0.0000 0.2843 x3
4 Sb 0.0000 0.0000 0.7886 x3
5 I 0.0154 0.6020 0.5401 x9
6 I 0.0807 0.3410 0.3762 x9

The 10 most intense peaks (2θ from 10° to 80°), most intense first:
hkl, 2θ/deg, I/Imax
1 1 3, 24.3, 100
1 1 6, 32.5, 71
0 2 4, 29.4, 57
0 1 2, 14.6, 57
4 -3 1, 44.6, 26
3 0 0, 36.6, 24
2 -1 9, 43.2, 22
0 0 6, 24.7, 20
2 0 2, 25.6, 19
4 -1 5, 49.4, 18

---

Record 3
This entry pairs a crystal structure of Ho3ErTm with its simulated PXRD pattern. Radiation: Cu Kα, 1.54184 Å. Structure: the GGA-PBE geometry in Alexandria.
No peak broadening, texture or thermal motion is included.

Structural model:
a = 6.200 Å, b = 6.617 Å, c = 9.075 Å
α = 72.39°, β = 90.00°, γ = 62.10°
Space group P-1 (No. 2)
Asymmetric unit:
1 Ho 0.067 0.199 0.050 x2
2 Ho 0.267 0.800 0.450 x2
3 Ho 0.334 0.000 0.750 x2
4 Er 0.133 0.401 0.349 x2
5 Tm 0.466 0.400 0.851 x2

The 10 most intense peaks (2θ from 10° to 80°), most intense first:
hkl, 2θ/deg, I/Imax
2 2 1, 33.1, 100
0 2 2, 32.2, 24
1 1 -2, 28.8, 24
3 4 0, 61.6, 23
2 4 3, 57.9, 20
3 1 2, 51.0, 20
2 3 -3, 62.1, 16
1 3 0, 43.7, 16
4 4 2, 69.4, 4
1 5 2, 74.8, 3